[1]
Diffraction record for Sm2Ta2O9. The X-ray diffraction stick pattern is calculated, not measured: it uses a structure optimized by DFT (PBE) and λ = 1.5418 Å (Cu Kα).
Peak positions follow from Bragg's law for the DFT cell and can differ from measured ones.

Cell and atoms:
```
Sm2Ta2O9
1.0
7.744 -1.940 0.000
7.744 1.940 0.000
-2.503 0.000 6.167
Sm Ta O
2 2 9
Direct
0.195 0.195 0.187
0.805 0.805 0.813
0.459 0.459 0.192
0.541 0.541 0.808
0.051 0.051 0.848
0.220 0.220 0.562
0.322 0.322 0.079
0.418 0.418 0.839
0.500 0.500 0.500
0.582 0.582 0.161
0.678 0.678 0.921
0.780 0.780 0.438
0.949 0.949 0.152
```

Largest 10 diffraction maxima, low angle first, 5 to 70 degrees two-theta:
two_theta, I/Imax
14.36, 79
23.53, 88
23.76, 51
29.08, 70
29.65, 100
30.29, 58
33.28, 49
35.86, 50
46.85, 52
47.30, 52


[2]
Diffraction record for SrAl3Ga. The X-ray diffraction stick pattern is calculated, not measured: it uses a structure optimized by DFT (PBE) and λ = 1.5418 Å (Cu Kα).
Peak positions follow from Bragg's law for the DFT cell and can differ from measured ones.

Cell and atoms:
```
SrAl3Ga
1.0
-2.212 2.212 5.579
2.212 -2.212 5.579
2.212 2.212 -5.579
Sr Al Ga
1 3 1
Direct
0.000 0.000 0.000
0.253 0.753 0.500
0.618 0.618 0.000
0.753 0.253 0.500
0.386 0.386 0.000
```

Largest 10 diffraction maxima, low angle first, 5 to 70 degrees two-theta:
two_theta, I/Imax
15.89, 23
28.53, 50
31.42, 98
32.82, 100
40.79, 62
45.53, 48
52.38, 45
59.06, 20
62.76, 37
69.23, 22